Structure and calculated XRD peak list of Pr2Ni12P3Pt (a crystal structure in Alexandria, relaxed with PBE; copper Kα).
Neutral-atom scattering factors, no anomalous dispersion.

Peak list (8 most intense, 2θ = 10–90°, sorted by position)
- 2θ 28.02, intensity 77, hkl 1 1 3
- 2θ 28.93, intensity 78, hkl 0 1 5
- 2θ 34.09, intensity 84, hkl 0 2 4
- 2θ 37.54, intensity 73, hkl 2 0 5
- 2θ 44.08, intensity 26, hkl 3 0 3
- 2θ 47.85, intensity 100, hkl 2 2 0
- 2θ 50.10, intensity 71, hkl 2 0 8
- 2θ 71.78, intensity 21, hkl 0 4 8

Cell and atoms:
Unit cell a=7.6041 b=7.6041 c=17.4843 alpha=90.00 beta=90.00 gamma=120.00
Space group R-3m (No. 166, hexagonal axes)
Inequivalent atoms, fractional coordinates:
Pr1 0.0000 0.0000 0.1109
Ni1 0.0083 0.5042 0.8787
Ni2 0.0387 0.5194 0.3604
P1 0.0000 0.5000 0.0000
Pt1 0.0000 0.0000 0.5000

Structure and calculated XRD peak list of Ir3Ru5Rh2 (a crystal structure in Alexandria, relaxed with PBE; copper Kα).
Neutral-atom scattering factors, no anomalous dispersion.

Peak list (8 most intense, 2θ = 10–90°, sorted by position)
- 2θ 25.69, intensity 26, hkl 2 1 1
- 2θ 33.19, intensity 22, hkl 2 3 1
- 2θ 38.16, intensity 100, hkl 0 2 2
- 2θ 44.91, intensity 41, hkl 2 5 1
- 2θ 46.39, intensity 48, hkl 0 4 2
- 2θ 50.44, intensity 47, hkl 4 0 2
- 2θ 69.81, intensity 21, hkl 2 5 3
- 2θ 86.55, intensity 19, hkl 4 2 4

Cell and atoms:
Unit cell a=10.229 b=12.158 c=5.121 alpha=90.00 beta=90.00 gamma=90.00
Space group Ibam (No. 72)
Inequivalent atoms, fractional coordinates:
Ir1 0.000 0.000 0.250
Ir2 0.131 0.350 0.000
Ru1 0.000 0.500 0.250
Ru2 0.116 0.153 0.000
Ru3 0.246 0.000 0.250
Rh1 0.131 0.281 0.500

Structure and calculated XRD peak list of NbV2H4 (a crystal structure in Alexandria, relaxed with PBE; copper Kα).
Neutral-atom scattering factors, no anomalous dispersion.

Peak list (8 most intense, 2θ = 10–90°, sorted by position)
- 2θ 33.02, intensity 79, hkl 2 0 0
- 2θ 38.90, intensity 100, hkl 2 1 1
- 2θ 38.99, intensity 50, hkl 1 0 3
- 2θ 40.74, intensity 29, hkl 0 2 2
- 2θ 59.02, intensity 19, hkl 3 1 2
- 2θ 62.88, intensity 28, hkl 2 3 1
- 2θ 63.05, intensity 17, hkl 0 1 5
- 2θ 69.31, intensity 29, hkl 4 0 0

Cell and atoms:
Unit cell a=5.424 b=5.438 c=7.657 alpha=90.00 beta=90.00 gamma=90.00
Space group Imma (No. 74)
Inequivalent atoms, fractional coordinates:
Nb1 0.000 0.250 0.125
V1 0.000 0.000 0.500
V2 0.250 0.250 0.750
H1 0.000 0.034 0.734
H2 0.216 0.250 0.516

Structure and calculated XRD peak list of Tb9Pm2Sm (a crystal structure in Alexandria, relaxed with PBE; copper Kα).
Neutral-atom scattering factors, no anomalous dispersion.

Peak list (8 most intense, 2θ = 10–90°, sorted by position)
- 2θ 29.92, intensity 24, hkl 1 1 1
- 2θ 31.31, intensity 54, hkl 2 0 1
- 2θ 31.60, intensity 100, hkl 2 2 0
- 2θ 35.19, intensity 16, hkl 2 1 1
- 2θ 45.08, intensity 19, hkl 4 0 1
- 2θ 56.10, intensity 20, hkl 4 2 1
- 2θ 56.28, intensity 18, hkl 6 0 0
- 2θ 62.17, intensity 29, hkl 2 2 2

Cell and atoms:
Unit cell a=11.3252 b=11.3252 c=3.5144 alpha=90.00 beta=90.00 gamma=120.00
Space group P6/mmm (No. 191)
Inequivalent atoms, fractional coordinates:
Tb1 0.0000 0.5000 0.0000
Tb2 0.1748 0.3495 0.5000
Pm1 0.3333 0.6667 0.0000
Sm1 0.0000 0.0000 0.0000

Structure and calculated XRD peak list of Ce2PuMg2Ga2 (a crystal structure in Alexandria, relaxed with PBE; copper Kα).
Neutral-atom scattering factors, no anomalous dispersion.

Peak list (8 most intense, 2θ = 10–90°, sorted by position)
- 2θ 21.53, intensity 100, hkl 1 0 0
- 2θ 23.53, intensity 33, hkl 1 0 1
- 2θ 35.89, intensity 84, hkl 1 0 3
- 2θ 37.76, intensity 72, hkl 1 1 0
- 2θ 44.21, intensity 37, hkl 0 1 4
- 2θ 53.07, intensity 28, hkl 0 2 3
- 2θ 66.96, intensity 27, hkl 2 1 3
- 2θ 72.66, intensity 17, hkl 1 2 4

Cell and atoms:
Unit cell a=4.7654 b=4.7654 c=9.4399 alpha=90.00 beta=90.00 gamma=120.00
Space group P-3m1 (No. 164)
Inequivalent atoms, fractional coordinates:
Ce1 0.0000 0.0000 0.2133
Pu1 0.0000 0.0000 0.5000
Mg1 0.3333 0.6667 0.0222
Ga1 0.3333 0.6667 0.3518

Structure and calculated XRD peak list of Cs2NpZn2S6 (a crystal structure in Alexandria, relaxed with PBE; copper Kα).
Neutral-atom scattering factors, no anomalous dispersion.

Peak list (8 most intense, 2θ = 10–90°, sorted by position)
- 2θ 14.46, intensity 32, hkl 1 0 1
- 2θ 24.11, intensity 97, hkl 1 1 0
- 2θ 25.05, intensity 100, hkl 0 1 5
- 2θ 32.64, intensity 34, hkl 0 2 4
- 2θ 35.05, intensity 33, hkl 2 0 5
- 2θ 42.99, intensity 52, hkl 1 2 5
- 2θ 49.38, intensity 29, hkl 2 2 0
- 2θ 56.15, intensity 22, hkl 3 1 5

Cell and atoms:
Unit cell a=7.3830 b=7.3830 c=21.3752 alpha=90.00 beta=90.00 gamma=120.00
Space group R-3m (No. 166, hexagonal axes)
Inequivalent atoms, fractional coordinates:
Cs1 0.0000 0.0000 0.2197
Np1 0.0000 0.0000 0.0000
Zn1 0.0000 0.0000 0.3989
S1 0.0168 0.5084 0.7400

What did the fourth record say?
Structure and calculated XRD peak list of Tb9Pm2Sm (a crystal structure in Alexandria, relaxed with PBE; copper Kα).
Neutral-atom scattering factors, no anomalous dispersion.

Peak list (8 most intense, 2θ = 10–90°, sorted by position)
- 2θ 29.92, intensity 24, hkl 1 1 1
- 2θ 31.31, intensity 54, hkl 2 0 1
- 2θ 31.60, intensity 100, hkl 2 2 0
- 2θ 35.19, intensity 16, hkl 2 1 1
- 2θ 45.08, intensity 19, hkl 4 0 1
- 2θ 56.10, intensity 20, hkl 4 2 1
- 2θ 56.28, intensity 18, hkl 6 0 0
- 2θ 62.17, intensity 29, hkl 2 2 2

Cell and atoms:
Unit cell a=11.3252 b=11.3252 c=3.5144 alpha=90.00 beta=90.00 gamma=120.00
Space group P6/mmm (No. 191)
Inequivalent atoms, fractional coordinates:
Tb1 0.0000 0.5000 0.0000
Tb2 0.1748 0.3495 0.5000
Pm1 0.3333 0.6667 0.0000
Sm1 0.0000 0.0000 0.0000

What did the second record say?
Structure and calculated XRD peak list of Ir3Ru5Rh2 (a crystal structure in Alexandria, relaxed with PBE; copper Kα).
Neutral-atom scattering factors, no anomalous dispersion.

Peak list (8 most intense, 2θ = 10–90°, sorted by position)
- 2θ 25.69, intensity 26, hkl 2 1 1
- 2θ 33.19, intensity 22, hkl 2 3 1
- 2θ 38.16, intensity 100, hkl 0 2 2
- 2θ 44.91, intensity 41, hkl 2 5 1
- 2θ 46.39, intensity 48, hkl 0 4 2
- 2θ 50.44, intensity 47, hkl 4 0 2
- 2θ 69.81, intensity 21, hkl 2 5 3
- 2θ 86.55, intensity 19, hkl 4 2 4

Cell and atoms:
Unit cell a=10.229 b=12.158 c=5.121 alpha=90.00 beta=90.00 gamma=90.00
Space group Ibam (No. 72)
Inequivalent atoms, fractional coordinates:
Ir1 0.000 0.000 0.250
Ir2 0.131 0.350 0.000
Ru1 0.000 0.500 0.250
Ru2 0.116 0.153 0.000
Ru3 0.246 0.000 0.250
Rh1 0.131 0.281 0.500